This entry pairs a crystal structure of Li2NpCO6 with its theoretical XRD peak list. Radiation: λ = 1.5418 Å (Cu Kα). Structure: a structure optimized by DFT (PBE).
Intensities are scaled so that the largest is 100.

Cell and atoms:
abc: 5.1821 5.1920 9.3259
angles: 90.00 90.00 90.00
Space group Pnnm (No. 58)
Symmetry-distinct sites (fractional):
1 Li 0.0000 0.0000 0.2498
2 Np 0.0000 0.5000 0.0000
3 C 0.0000 0.5000 0.5000
4 O 0.1604 0.3412 0.5000
5 O 0.1869 0.3139 0.1483

Most intense lines, 2θ from 10° to 90°, in order of rising 2θ:
(0 0 2), 2θ = 19.03°, I = 36
(1 0 1), 2θ = 19.58°, I = 100
(1 1 0), 2θ = 24.27°, I = 42
(1 1 2), 2θ = 31.02°, I = 48
(2 1 1), 2θ = 40.05°, I = 34
(2 1 3), 2θ = 49.00°, I = 24